For LiCuBO3, a GGA-PBE-relaxed structure gives the theoretical powder X-ray diffraction pattern in this record (copper Kα).
Neutral-atom scattering factors, no anomalous dispersion.

Crystal structure
```
data_LiCuBO3
_space_group_name_H-M_alt 'P -6'
_space_group_IT_number 174
_space_group_name_Hall 'P -6'
_cell_length_a 8.0371
_cell_length_b 8.0371
_cell_length_c 3.1499
_cell_angle_alpha 90.00
_cell_angle_beta 90.00
_cell_angle_gamma 120.00
loop_
_atom_site_label
_atom_site_fract_x
_atom_site_fract_y
_atom_site_fract_z
Li1 0.0065 0.7072 0.0000
Cu1 0.3822 0.0098 0.5000
B1 0.0000 0.0000 0.5000
B2 0.3333 0.6667 0.0000
B3 0.6667 0.3333 0.5000
O1 0.0948 0.1991 0.5000
O2 0.1354 0.5510 0.0000
O3 0.4818 0.3008 0.5000
```

Largest 10 diffraction maxima, in order of falling intensity, 10 to 90 degrees two-theta:
hkl 1 1 0, 22.1 deg, rel. 100; hkl 1 1 1, 36.2 deg, rel. 75; hkl 0 0 1, 28.3 deg, rel. 49; hkl 3 1 1, 55.9 deg, rel. 36; hkl 2 2 1, 54.1 deg, rel. 27; hkl 3 0 0, 38.8 deg, rel. 26; hkl 3 1 0, 47.1 deg, rel. 21; hkl 1 0 1, 31.2 deg, rel. 21; hkl 3 0 1, 48.7 deg, rel. 19; hkl 2 0 0, 25.6 deg, rel. 18

***

For Li2CuB4Pb2O10, a GGA-PBE-relaxed structure gives the theoretical powder X-ray diffraction pattern in this record (copper Kα).
Neutral-atom scattering factors, no anomalous dispersion.

Crystal structure
```
data_Li2CuB4Pb2O10
_space_group_name_H-M_alt 'C 1 2/c 1'
_space_group_IT_number 15
_space_group_name_Hall '-C 2yc'
_cell_length_a 16.9993
_cell_length_b 4.8943
_cell_length_c 14.0554
_cell_angle_alpha 90.00
_cell_angle_beta 124.94
_cell_angle_gamma 90.00
loop_
_atom_site_label
_atom_site_fract_x
_atom_site_fract_y
_atom_site_fract_z
Li1 0.1841 0.1832 0.1328
Cu1 0.2500 0.2500 0.0000
B1 0.1244 0.2972 0.4779
B2 0.1501 0.3231 0.3170
Pb1 0.0323 0.1712 0.6403
O1 0.0836 0.1248 0.5174
O2 0.1149 0.1986 0.3771
O3 0.1263 0.2040 0.2156
O4 0.1658 0.4612 0.0280
O5 0.2012 0.4384 0.8534
```

Largest 10 diffraction maxima, in order of falling intensity, 10 to 90 degrees two-theta:
hkl 3 1 1, 30.6 deg, rel. 100; hkl 1 1 -1, 19.3 deg, rel. 89; hkl 2 0 0, 12.7 deg, rel. 88; hkl 5 1 -3, 32.4 deg, rel. 51; hkl 2 0 -4, 25.8 deg, rel. 48; hkl 4 0 -2, 20.9 deg, rel. 42; hkl 1 1 -3, 27.2 deg, rel. 36; hkl 1 1 1, 22.1 deg, rel. 36; hkl 4 0 -4, 26.6 deg, rel. 35; hkl 3 1 -3, 27.0 deg, rel. 31

***

For Li2CuBPd, a GGA-PBE-relaxed structure gives the theoretical powder X-ray diffraction pattern in this record (copper Kα).
Neutral-atom scattering factors, no anomalous dispersion.

Crystal structure
```
data_Li2CuBPd
_space_group_name_H-M_alt 'P 4/m m m'
_space_group_IT_number 123
_space_group_name_Hall '-P 4 2'
_cell_length_a 4.1743
_cell_length_b 4.1743
_cell_length_c 4.6851
_cell_angle_alpha 90.00
_cell_angle_beta 90.00
_cell_angle_gamma 90.00
loop_
_atom_site_label
_atom_site_fract_x
_atom_site_fract_y
_atom_site_fract_z
Li1 0.0000 0.5000 0.0000
Cu1 0.0000 0.0000 0.0000
B1 0.5000 0.5000 0.5000
Pd1 0.0000 0.0000 0.5000
```

Largest 10 diffraction maxima, in order of falling intensity, 10 to 90 degrees two-theta:
hkl 1 0 0, 21.3 deg, rel. 100; hkl 1 1 0, 30.3 deg, rel. 45; hkl 1 0 2, 44.3 deg, rel. 29; hkl 2 1 0, 48.8 deg, rel. 22; hkl 1 1 2, 49.7 deg, rel. 22; hkl 2 0 0, 43.4 deg, rel. 20; hkl 2 1 2, 63.7 deg, rel. 19; hkl 2 0 2, 59.3 deg, rel. 15; hkl 0 0 2, 38.4 deg, rel. 15; hkl 3 1 2, 84.2 deg, rel. 9

***

For LiCuB2S4, a GGA-PBE-relaxed structure gives the theoretical powder X-ray diffraction pattern in this record (copper Kα).
Neutral-atom scattering factors, no anomalous dispersion.

Crystal structure
```
data_LiCuB2S4
_space_group_name_H-M_alt 'I -4 2 m'
_space_group_IT_number 121
_space_group_name_Hall 'I -4 2'
_cell_length_a 4.5759
_cell_length_b 4.5759
_cell_length_c 11.0562
_cell_angle_alpha 90.00
_cell_angle_beta 90.00
_cell_angle_gamma 90.00
loop_
_atom_site_label
_atom_site_fract_x
_atom_site_fract_y
_atom_site_fract_z
Li1 0.0000 0.0000 0.0000
Cu1 0.0000 0.0000 0.5000
B1 0.0000 0.5000 0.2500
S1 0.2493 0.2493 0.6481
```

Largest 10 diffraction maxima, in order of falling intensity, 10 to 90 degrees two-theta:
hkl 1 1 2, 32.1 deg, rel. 100; hkl 1 0 1, 21.0 deg, rel. 48; hkl 2 0 4, 51.9 deg, rel. 37; hkl 3 1 2, 66.8 deg, rel. 20; hkl 1 0 3, 31.2 deg, rel. 18; hkl 2 2 0, 56.9 deg, rel. 17; hkl 2 0 2, 42.8 deg, rel. 17; hkl 1 1 4, 43.0 deg, rel. 15; hkl 2 1 1, 45.1 deg, rel. 12; hkl 1 1 6, 57.6 deg, rel. 10

***

For LuCuB5O10, a GGA-PBE-relaxed structure gives the theoretical powder X-ray diffraction pattern in this record (copper Kα).
Neutral-atom scattering factors, no anomalous dispersion.

Crystal structure
```
data_LuCuB5O10
_space_group_name_H-M_alt 'I b a m'
_space_group_IT_number 72
_space_group_name_Hall '-I 2 2c'
_cell_length_a 6.2831
_cell_length_b 8.5479
_cell_length_c 12.6388
_cell_angle_alpha 90.00
_cell_angle_beta 90.00
_cell_angle_gamma 90.00
loop_
_atom_site_label
_atom_site_fract_x
_atom_site_fract_y
_atom_site_fract_z
Lu1 0.0000 0.0000 0.2500
Cu1 0.0000 0.0000 0.0000
B1 0.0000 0.5000 0.2500
B2 0.1160 0.3073 0.0998
O1 0.0618 0.1552 0.1138
O2 0.1464 0.3725 0.0000
O3 0.1504 0.4055 0.1864
```

Largest 10 diffraction maxima, in order of falling intensity, 10 to 90 degrees two-theta:
hkl 1 1 0, 17.5 deg, rel. 100; hkl 0 2 0, 20.8 deg, rel. 38; hkl 1 1 4, 33.4 deg, rel. 36; hkl 0 2 4, 35.3 deg, rel. 35; hkl 1 3 4, 45.2 deg, rel. 34; hkl 2 2 4, 45.9 deg, rel. 28; hkl 2 0 0, 28.4 deg, rel. 27; hkl 3 1 0, 44.5 deg, rel. 22; hkl 1 3 0, 34.6 deg, rel. 21; hkl 0 0 2, 14.0 deg, rel. 21

***

For Mg14CuB, a GGA-PBE-relaxed structure gives the theoretical powder X-ray diffraction pattern in this record (copper Kα).
Neutral-atom scattering factors, no anomalous dispersion.

Crystal structure
```
data_Mg14CuB
_space_group_name_H-M_alt 'A m m 2'
_space_group_IT_number 38
_space_group_name_Hall 'A 2 -2'
_cell_length_a 9.5731
_cell_length_b 6.5211
_cell_length_c 10.8368
_cell_angle_alpha 90.00
_cell_angle_beta 90.00
_cell_angle_gamma 90.00
loop_
_atom_site_label
_atom_site_fract_x
_atom_site_fract_y
_atom_site_fract_z
Mg1 0.0000 0.0000 0.0000
Mg2 0.0000 0.0000 0.4967
Mg3 0.0000 0.2484 0.7378
Mg4 0.2506 0.0000 0.3213
Mg5 0.2506 0.0000 0.8266
Mg6 0.3137 0.2339 0.5655
Mg7 0.5000 0.2433 0.2950
Cu1 0.5000 0.0000 0.9818
B1 0.5000 0.0000 0.4648
```

Largest 10 diffraction maxima, in order of falling intensity, 10 to 90 degrees two-theta:
hkl 2 2 2, 37.3 deg, rel. 100; hkl 2 0 4, 38.2 deg, rel. 30; hkl 4 0 0, 37.6 deg, rel. 21; hkl 0 2 2, 32.0 deg, rel. 20; hkl 0 0 4, 33.1 deg, rel. 17; hkl 1 1 1, 18.4 deg, rel. 14; hkl 0 2 6, 58.4 deg, rel. 13; hkl 4 2 2, 50.2 deg, rel. 10; hkl 0 4 0, 56.4 deg, rel. 10; hkl 2 1 1, 24.5 deg, rel. 10

***

For Mg14CuB, a GGA-PBE-relaxed structure gives the theoretical powder X-ray diffraction pattern in this record (copper Kα).
Neutral-atom scattering factors, no anomalous dispersion.

Crystal structure
```
data_Mg14CuB
_space_group_name_H-M_alt 'P -6 m 2'
_space_group_IT_number 187
_space_group_name_Hall 'P -6 2'
_cell_length_a 6.2033
_cell_length_b 6.2033
_cell_length_c 9.7851
_cell_angle_alpha 90.00
_cell_angle_beta 90.00
_cell_angle_gamma 120.00
loop_
_atom_site_label
_atom_site_fract_x
_atom_site_fract_y
_atom_site_fract_z
Mg1 0.0000 0.0000 0.2499
Mg2 0.0150 0.5075 0.2427
Mg3 0.3294 0.1647 0.0000
Mg4 0.3344 0.1672 0.5000
Cu1 0.3333 0.6667 0.5000
B1 0.3333 0.6667 0.0000
```

Largest 10 diffraction maxima, in order of falling intensity, 10 to 90 degrees two-theta:
hkl 2 0 2, 38.2 deg, rel. 100; hkl 2 0 0, 33.4 deg, rel. 25; hkl 0 0 4, 36.7 deg, rel. 25; hkl 2 2 4, 72.1 deg, rel. 18; hkl 2 0 6, 67.1 deg, rel. 17; hkl 2 2 0, 59.6 deg, rel. 17; hkl 2 0 4, 50.5 deg, rel. 14; hkl 1 0 1, 18.8 deg, rel. 14; hkl 4 0 2, 73.1 deg, rel. 13; hkl 1 1 1, 30.2 deg, rel. 5

***

For MgCu2BPt, a GGA-PBE-relaxed structure gives the theoretical powder X-ray diffraction pattern in this record (copper Kα).
Neutral-atom scattering factors, no anomalous dispersion.

Crystal structure
```
data_MgCu2BPt
_space_group_name_H-M_alt 'P 4/m m m'
_space_group_IT_number 123
_space_group_name_Hall '-P 4 2'
_cell_length_a 4.0322
_cell_length_b 4.0322
_cell_length_c 4.1692
_cell_angle_alpha 90.00
_cell_angle_beta 90.00
_cell_angle_gamma 90.00
loop_
_atom_site_label
_atom_site_fract_x
_atom_site_fract_y
_atom_site_fract_z
Mg1 0.0000 0.0000 0.0000
Cu1 0.0000 0.5000 0.5000
B1 0.5000 0.5000 0.5000
Pt1 0.5000 0.5000 0.0000
```

Largest 10 diffraction maxima, in order of falling intensity, 10 to 90 degrees two-theta:
hkl 1 1 1, 38.2 deg, rel. 100; hkl 1 0 0, 22.0 deg, rel. 51; hkl 1 0 1, 30.9 deg, rel. 36; hkl 2 0 0, 45.0 deg, rel. 34; hkl 3 1 1, 78.4 deg, rel. 24; hkl 2 0 2, 64.3 deg, rel. 23; hkl 0 0 2, 43.4 deg, rel. 19; hkl 2 1 1, 55.5 deg, rel. 15; hkl 1 1 3, 76.2 deg, rel. 13; hkl 1 0 2, 49.2 deg, rel. 12